No. 1
The following is a calculated powder diffractogram of NaMg2Ga4. It was derived from a PBE-relaxed structure, using Cu Kα.
Intensities are scaled so that the largest is 100.

Top 10 peaks for 2θ = 5–70°, by intensity:
39.46°, I = 100, hkl 0 1 7; 34.60°, I = 92, hkl 1 1 2; 26.39°, I = 74, hkl 1 0 1; 44.35°, I = 62, hkl 1 1 6; 41.42°, I = 47, hkl 0 2 0; 68.36°, I = 37, hkl 2 1 7; 35.43°, I = 32, hkl 1 0 5; 18.92°, I = 32, hkl 0 0 4; 24.90°, I = 30, hkl 0 1 3; 49.79°, I = 26, hkl 1 2 1

Cell and atoms:
Lattice parameters (Å, degrees): 3.4336 4.3596 18.7644 90.00 90.00 90.00
Space group Immm (No. 71)
Symmetry-distinct sites (fractional):
Na1 0.0000 0.0000 0.0000 (multiplicity 2)
Mg1 0.0000 0.5000 0.2012 (multiplicity 4)
Ga1 0.0000 0.0000 0.4288 (multiplicity 4)
Ga2 0.0000 0.5000 0.3514 (multiplicity 4)

---

No. 2
The following is a calculated powder diffractogram of HfZr4Tl. It was derived from a PBE-relaxed structure, using Cu Kα.
Intensities are scaled so that the largest is 100.

Top 10 peaks for 2θ = 5–70°, by intensity:
34.24°, I = 100, hkl 1 1 -2; 39.20°, I = 49, hkl 3 1 0; 34.72°, I = 32, hkl 2 0 2; 41.23°, I = 20, hkl 2 0 -4; 57.83°, I = 14, hkl 5 1 -4; 58.55°, I = 14, hkl 1 1 4; 18.27°, I = 9, hkl 2 0 0; 67.94°, I = 9, hkl 2 2 2; 67.61°, I = 9, hkl 4 2 -2; 67.78°, I = 9, hkl 7 1 -2

Cell and atoms:
Lattice parameters (Å, degrees): 10.7198 3.2634 8.7585 90.00 115.02 90.00
Space group C2/m (No. 12)
Symmetry-distinct sites (fractional):
Hf1 0.0000 0.0000 0.0000 (multiplicity 2)
Zr1 0.1612 0.5000 0.3352 (multiplicity 4)
Zr2 0.1715 0.5000 0.8353 (multiplicity 4)
Tl1 0.0000 0.0000 0.5000 (multiplicity 2)

---

No. 3
The following is a calculated powder diffractogram of La8In2Hg. It was derived from a PBE-relaxed structure, using Cu Kα.
Intensities are scaled so that the largest is 100.

Top 10 peaks for 2θ = 5–70°, by intensity:
32.75°, I = 100, hkl 1 2 3; 32.36°, I = 32, hkl 2 0 0; 57.97°, I = 19, hkl 3 2 3; 30.84°, I = 18, hkl 0 0 6; 30.35°, I = 17, hkl 1 0 5; 22.44°, I = 14, hkl 1 1 2; 45.31°, I = 12, hkl 2 0 6; 59.62°, I = 10, hkl 2 4 0; 48.62°, I = 9, hkl 0 4 0; 39.76°, I = 9, hkl 1 0 7

Cell and atoms:
Lattice parameters (Å, degrees): 5.5326 7.4909 17.3951 90.00 90.00 90.00
Space group Immm (No. 71)
Symmetry-distinct sites (fractional):
La1 0.0000 0.0000 0.1963 (multiplicity 4)
La2 0.0000 0.2325 0.3591 (multiplicity 8)
La3 0.0000 0.2840 0.0000 (multiplicity 4)
In1 0.0000 0.5000 0.1863 (multiplicity 4)
Hg1 0.0000 0.5000 0.5000 (multiplicity 2)

---

No. 4
The following is a calculated powder diffractogram of Nd2Se2F. It was derived from a PBE-relaxed structure, using Cu Kα.
Intensities are scaled so that the largest is 100.

Top 10 peaks for 2θ = 5–70°, by intensity:
26.27°, I = 100, hkl 0 2 1; 34.56°, I = 85, hkl 2 1 -2; 27.55°, I = 82, hkl 2 1 1; 27.10°, I = 75, hkl 2 1 -1; 35.29°, I = 73, hkl 2 1 2; 41.37°, I = 66, hkl 2 3 0; 43.49°, I = 51, hkl 4 0 0; 34.08°, I = 39, hkl 0 2 2; 44.43°, I = 32, hkl 0 2 3; 50.61°, I = 20, hkl 0 0 4

Cell and atoms:
Lattice parameters (Å, degrees): 8.3256 7.6892 7.2167 90.00 91.32 90.00
Space group P2_1/c (No. 14)
Symmetry-distinct sites (fractional):
Nd1 0.1155 0.1251 0.2715 (multiplicity 4)
Nd2 0.3706 0.5762 0.2257 (multiplicity 4)
Se1 0.1479 0.6791 0.5271 (multiplicity 4)
Se2 0.3904 0.2290 0.0040 (multiplicity 4)
F1 0.1073 0.0700 0.6483 (multiplicity 4)

---

No. 5
The following is a calculated powder diffractogram of InSn3Hg. It was derived from a PBE-relaxed structure, using Cu Kα.
Intensities are scaled so that the largest is 100.

Top 10 peaks for 2θ = 5–70°, by intensity:
31.94°, I = 100, hkl 1 1 2; 32.59°, I = 75, hkl 1 2 1; 31.10°, I = 37, hkl 0 2 2; 42.13°, I = 27, hkl 2 0 0; 66.83°, I = 23, hkl 1 5 2; 40.12°, I = 22, hkl 1 3 0; 45.84°, I = 21, hkl 0 4 0; 38.49°, I = 20, hkl 1 0 3; 47.42°, I = 20, hkl 0 3 3; 64.18°, I = 18, hkl 1 2 5

Cell and atoms:
Lattice parameters (Å, degrees): 4.2895 7.9175 8.3708 90.00 90.00 90.00
Space group Pmmn (No. 59, origin choice 2)
Symmetry-distinct sites (fractional):
In1 0.2500 0.2500 0.2124 (multiplicity 2)
Sn1 0.2500 0.0458 0.7308 (multiplicity 4)
Sn2 0.2500 0.7500 0.4708 (multiplicity 2)
Hg1 0.2500 0.7500 0.0488 (multiplicity 2)

---

No. 6
The following is a calculated powder diffractogram of Ta2MnTe4Se2. It was derived from a PBE-relaxed structure, using Cu Kα.
Intensities are scaled so that the largest is 100.

Top 10 peaks for 2θ = 5–70°, by intensity:
12.42°, I = 100, hkl 0 0 3; 35.28°, I = 97, hkl 0 1 5; 32.89°, I = 82, hkl 1 0 4; 28.20°, I = 73, hkl 1 0 0; 49.91°, I = 58, hkl 1 1 0; 41.07°, I = 52, hkl 0 1 7; 8.27°, I = 39, hkl 0 0 2; 44.37°, I = 31, hkl 1 0 8; 38.03°, I = 22, hkl 1 0 6; 30.92°, I = 18, hkl 0 1 3

Cell and atoms:
Lattice parameters (Å, degrees): 3.6543 3.6543 21.3788 90.00 90.00 120.00
Space group P3m1 (No. 156)
Symmetry-distinct sites (fractional):
Ta1 0.0000 0.0000 0.0000 (multiplicity 1)
Ta2 0.3333 0.6667 0.3463 (multiplicity 1)
Mn1 0.3333 0.6667 0.6886 (multiplicity 1)
Te1 0.0000 0.0000 0.2597 (multiplicity 1)
Te2 0.0000 0.0000 0.4329 (multiplicity 1)
Te3 0.3333 0.6667 0.0869 (multiplicity 1)
Te4 0.3333 0.6667 0.9137 (multiplicity 1)
Se1 0.0000 0.0000 0.6207 (multiplicity 1)
Se2 0.0000 0.0000 0.7566 (multiplicity 1)

---

No. 7
The following is a calculated powder diffractogram of DyHo2Al2Ga2. It was derived from a PBE-relaxed structure, using Cu Kα.
Intensities are scaled so that the largest is 100.

Top 10 peaks for 2θ = 5–70°, by intensity:
33.20°, I = 100, hkl 0 1 8; 31.29°, I = 61, hkl 1 0 7; 24.28°, I = 60, hkl 1 0 1; 42.42°, I = 58, hkl 1 1 0; 61.89°, I = 26, hkl 1 1 15; 54.90°, I = 24, hkl 2 0 8; 52.49°, I = 19, hkl 1 0 16; 53.64°, I = 13, hkl 0 2 7; 42.87°, I = 13, hkl 0 0 15; 25.33°, I = 9, hkl 0 0 9

Cell and atoms:
Lattice parameters (Å, degrees): 4.2621 4.2621 31.6435 90.00 90.00 120.00
Space group R-3m (No. 166, hexagonal axes)
Symmetry-distinct sites (fractional):
Dy1 0.0000 0.0000 0.0000 (multiplicity 3)
Ho1 0.0000 0.0000 0.1258 (multiplicity 6)
Al1 0.0000 0.0000 0.3928 (multiplicity 6)
Ga1 0.0000 0.0000 0.2610 (multiplicity 6)

---

No. 8
The following is a calculated powder diffractogram of La6NdY5. It was derived from a PBE-relaxed structure, using Cu Kα.
Intensities are scaled so that the largest is 100.

Top 10 peaks for 2θ = 5–70°, by intensity:
29.85°, I = 100, hkl 1 2 0; 34.19°, I = 35, hkl 1 2 -3; 58.58°, I = 22, hkl 3 2 -4; 35.43°, I = 16, hkl 2 0 2; 60.20°, I = 13, hkl 4 0 1; 49.13°, I = 12, hkl 2 0 -4; 62.02°, I = 12, hkl 2 4 0; 50.04°, I = 12, hkl 1 2 3; 50.08°, I = 12, hkl 3 2 -1; 58.50°, I = 7, hkl 0 4 1

Cell and atoms:
Lattice parameters (Å, degrees): 6.2783 7.4218 9.7101 112.37 91.68 90.05
Space group P-1 (No. 2)
Symmetry-distinct sites (fractional):
La1 0.9997 0.2492 0.9999 (multiplicity 2)
La2 0.3315 0.5839 0.6661 (multiplicity 2)
La3 0.3316 0.0825 0.6661 (multiplicity 2)
Nd1 0.5000 0.0000 0.0000 (multiplicity 1)
Y1 0.1676 0.1671 0.3344 (multiplicity 2)
Y2 0.1678 0.6665 0.3331 (multiplicity 2)
Y3 0.5000 0.5000 0.0000 (multiplicity 1)